(1)
Simulated powder diffraction line list
Compound: TeMo6
Radiation: Cu Kα X-rays
Structure: the PBE geometry in Alexandria
Kinematic intensities with the Lorentz-polarization factor, no thermal factor.

Crystal structure
Unit cell a=9.293 b=9.293 c=5.319 alpha=90.00 beta=90.00 gamma=33.51
Positions (direct):
Te (0.000, 0.000, 0.000)
Te (0.500, 0.500, 0.500)
Mo (0.046, 0.702, 0.740)
Mo (0.202, 0.546, 0.240)
Mo (0.250, 0.250, 0.000)
Mo (0.250, 0.250, 0.500)
Mo (0.298, 0.954, 0.740)
Mo (0.454, 0.798, 0.240)
Mo (0.546, 0.202, 0.760)
Mo (0.702, 0.046, 0.260)
Mo (0.750, 0.750, 0.000)
Mo (0.750, 0.750, 0.500)
Mo (0.798, 0.454, 0.760)
Mo (0.954, 0.298, 0.260)

Peak list (12 most intense, 10° ≤ 2θ ≤ 90°, sorted by position)
2θ/deg  I_rel
24.10  20
28.02  18
37.59  24
39.25  59
39.48  100
40.55  47
42.91  37
48.21  32
56.49  16
64.78  26
72.87  13
73.05  16

(2)
Simulated powder diffraction line list
Compound: TeMo2
Radiation: Cu Kα X-rays
Structure: the PBE geometry in Alexandria
Kinematic intensities with the Lorentz-polarization factor, no thermal factor.

Crystal structure
Unit cell a=9.765 b=9.765 c=4.284 alpha=90.00 beta=90.00 gamma=160.55
Positions (direct):
Te (0.167, 0.833, 0.750)
Te (0.833, 0.167, 0.250)
Mo (0.063, 0.937, 0.250)
Mo (0.449, 0.551, 0.250)
Mo (0.551, 0.449, 0.750)
Mo (0.937, 0.063, 0.750)

Peak list (12 most intense, 10° ≤ 2θ ≤ 90°, sorted by position)
2θ/deg  I_rel
22.72  26
27.88  22
30.47  29
37.15  48
37.37  24
41.78  100
42.19  29
43.12  14
55.74  12
57.62  13
73.51  17
76.85  16

What did the second record say?
Simulated powder diffraction line list
Compound: TeMo2
Radiation: Cu Kα X-rays
Structure: the PBE geometry in Alexandria
Kinematic intensities with the Lorentz-polarization factor, no thermal factor.

Crystal structure
Unit cell a=9.765 b=9.765 c=4.284 alpha=90.00 beta=90.00 gamma=160.55
Positions (direct):
Te (0.167, 0.833, 0.750)
Te (0.833, 0.167, 0.250)
Mo (0.063, 0.937, 0.250)
Mo (0.449, 0.551, 0.250)
Mo (0.551, 0.449, 0.750)
Mo (0.937, 0.063, 0.750)

Peak list (12 most intense, 10° ≤ 2θ ≤ 90°, sorted by position)
2θ/deg  I_rel
22.72  26
27.88  22
30.47  29
37.15  48
37.37  24
41.78  100
42.19  29
43.12  14
55.74  12
57.62  13
73.51  17
76.85  16